Diffraction record for RbHg2BiCl8. The XRD peak list is computed, not measured: it uses a GGA-PBE-relaxed structure and Cu Kα.
No peak broadening, texture or thermal motion is included.

The 8 most intense peaks (2θ = 10–90°), low angle first:
2theta  I_rel  hkl
14.10  33  0 1 1
18.65  100  1 1 0
19.24  90  1 -1 0
20.61  64  0 1 2
22.64  52  1 0 2
26.73  33  2 0 0
27.86  41  0 1 -2
33.14  39  -1 2 2

Atomic structure:
```
data_RbHg2BiCl8
_chemical_formula_sum 'Rb1 Hg2 Bi1 Cl8'
_cell_length_a 6.7678
_cell_length_b 6.9495
_cell_length_c 9.3152
_cell_angle_alpha 71.25
_cell_angle_beta 80.41
_cell_angle_gamma 85.27
_symmetry_space_group_name_H-M 'P -1'
_symmetry_Int_Tables_number 2
loop_
_symmetry_equiv_pos_as_xyz
'x,y,z'
'-x,-y,-z'
loop_
_atom_site_label
_atom_site_fract_x
_atom_site_fract_y
_atom_site_fract_z
Rb1 0.0000 0.0000 0.0000
Hg1 0.4744 0.4670 0.2301
Bi1 0.0000 0.0000 0.5000
Cl1 0.1330 0.7294 0.7517
Cl2 0.1968 0.7963 0.3154
Cl3 0.3354 0.2350 0.4720
Cl4 0.4125 0.2648 0.9970
```